(1)
The following is a simulated PXRD pattern of CdAs2S18N12O6F12. It was derived from a PBE-relaxed structure, using Cu Kα (λ = 1.5418 Å).
Neutral-atom scattering factors, no anomalous dispersion.

Atomic structure:
```
data_CdAs2S18N12O6F12
_chemical_formula_sum 'Cd1 As2 S18 N12 O6 F12'
_cell_length_a 8.6819
_cell_length_b 9.7357
_cell_length_c 10.6784
_cell_angle_alpha 65.21
_cell_angle_beta 79.89
_cell_angle_gamma 86.78
_space_group_name_H-M_alt 'P 1'
_space_group_IT_number 1
_space_group_name_Hall 'P 1'
loop_
_atom_site_label
_atom_site_type_symbol
_atom_site_fract_x
_atom_site_fract_y
_atom_site_fract_z
Cd1 Cd 0.0000 0.0000 0.0000
As1 As 0.2800 0.3043 0.3579
As2 As 0.7200 0.6957 0.6421
S1 S 0.1034 0.4337 0.7509
S2 S 0.1064 0.3202 0.0385
S3 S 0.1490 0.8892 0.3813
S4 S 0.2416 0.8803 0.6749
S5 S 0.2812 0.8993 0.1770
S6 S 0.3359 0.7220 0.9272
S7 S 0.3419 0.0302 0.7522
S8 S 0.3423 0.3666 0.9022
S9 S 0.3531 0.6545 0.4114
S10 S 0.6469 0.3455 0.5886
S11 S 0.6577 0.6334 0.0978
S12 S 0.6581 0.9698 0.2478
S13 S 0.6641 0.2780 0.0728
S14 S 0.7188 0.1007 0.8230
S15 S 0.7584 0.1197 0.3251
S16 S 0.8510 0.1108 0.6187
S17 S 0.8936 0.6798 0.9615
S18 S 0.8966 0.5663 0.2491
N1 N 0.0176 0.4037 0.9051
N2 N 0.2147 0.7283 0.4763
N3 N 0.2423 0.7246 0.8132
N4 N 0.2830 0.4122 0.7556
N5 N 0.4022 0.7705 0.2511
N6 N 0.4112 0.8867 0.8741
N7 N 0.5888 0.1133 0.1259
N8 N 0.5978 0.2295 0.7489
N9 N 0.7170 0.5878 0.2444
N10 N 0.7577 0.2754 0.1868
N11 N 0.7853 0.2717 0.5237
N12 N 0.9824 0.5963 0.0949
O1 O 0.0804 0.1507 0.0961
O2 O 0.1581 0.8274 0.1372
O3 O 0.2045 0.0915 0.8185
O4 O 0.7955 0.9085 0.1815
O5 O 0.8419 0.1726 0.8628
O6 O 0.9196 0.8493 0.9039
F1 F 0.1010 0.2271 0.3559
F2 F 0.2071 0.4897 0.2844
F3 F 0.2091 0.2929 0.5276
F4 F 0.3501 0.3185 0.1858
F5 F 0.3570 0.1199 0.4287
F6 F 0.4607 0.3793 0.3580
F7 F 0.5393 0.6207 0.6420
F8 F 0.6430 0.8801 0.5713
F9 F 0.6499 0.6815 0.8142
F10 F 0.7909 0.7071 0.4724
F11 F 0.7929 0.5103 0.7156
F12 F 0.8990 0.7729 0.6441
```

Top 6 peaks for 10 to 90 degrees two-theta, in order of rising 2θ:
2θ (°)  d_spacing  I/Imax
15.02  5.898  58
19.71  4.505  100
20.79  4.273  56
22.84  3.894  87
24.55  3.625  79
30.33  2.947  59

---

(2)
The following is a simulated PXRD pattern of CdAs2S2O4F12. It was derived from a PBE-relaxed structure, using Cu Kα (λ = 1.5418 Å).
Neutral-atom scattering factors, no anomalous dispersion.

Atomic structure:
```
data_CdAs2S2O4F12
_chemical_formula_sum 'Cd2 As4 S4 O8 F24'
_cell_length_a 9.4681
_cell_length_b 8.3327
_cell_length_c 11.2849
_cell_angle_alpha 55.27
_cell_angle_beta 46.33
_cell_angle_gamma 78.40
_space_group_name_H-M_alt 'P 1'
_space_group_IT_number 1
_space_group_name_Hall 'P 1'
loop_
_atom_site_label
_atom_site_type_symbol
_atom_site_fract_x
_atom_site_fract_y
_atom_site_fract_z
Cd1 Cd 0.0000 0.0000 0.0000
Cd2 Cd 0.2500 0.2500 0.2500
As1 As 0.3814 0.8328 0.5099
As2 As 0.7401 0.9740 0.8686
As3 As 0.8328 0.3814 0.2760
As4 As 0.9740 0.7401 0.4172
S1 S 0.3262 0.4297 0.4307
S2 S 0.4297 0.3262 0.8133
S3 S 0.4367 0.8193 0.8203
S4 S 0.8193 0.4367 0.9238
O1 O 0.1990 0.2453 0.6407
O2 O 0.2453 0.1990 0.9150
O3 O 0.2989 0.9348 0.8221
O4 O 0.3058 0.4279 0.3152
O5 O 0.3350 0.6093 0.0047
O6 O 0.4279 0.3058 0.9511
O7 O 0.6093 0.3350 0.0510
O8 O 0.9348 0.2989 0.9442
F1 F 0.0595 0.9807 0.3418
F2 F 0.0728 0.4376 0.0447
F3 F 0.0769 0.6196 0.5209
F4 F 0.1307 0.7556 0.7419
F5 F 0.2053 0.8051 0.1772
F6 F 0.2959 0.9370 0.3888
F7 F 0.3343 0.5933 0.5688
F8 F 0.4376 0.0728 0.4449
F9 F 0.4674 0.7291 0.6304
F10 F 0.5081 0.8782 0.1193
F11 F 0.5933 0.3343 0.5037
F12 F 0.6196 0.0769 0.7826
F13 F 0.6320 0.9082 0.2693
F14 F 0.6812 0.7463 0.9157
F15 F 0.7291 0.4674 0.1731
F16 F 0.7463 0.6812 0.6567
F17 F 0.7556 0.1307 0.3718
F18 F 0.8051 0.2053 0.8124
F19 F 0.8612 0.8717 0.9541
F20 F 0.8717 0.8612 0.3130
F21 F 0.8782 0.5081 0.4944
F22 F 0.9082 0.6320 0.1905
F23 F 0.9370 0.2959 0.3783
F24 F 0.9807 0.0595 0.6180
```

Top 6 peaks for 10 to 90 degrees two-theta, in order of rising 2θ:
2θ (°)  d_spacing  I/Imax
21.98  4.044  100
24.64  3.614  42
26.48  3.366  89
27.53  3.240  52
28.95  3.084  64
43.50  2.080  49

---

(3)
The following is a simulated PXRD pattern of CdAsPbF. It was derived from a PBE-relaxed structure, using Cu Kα (λ = 1.5418 Å).
Neutral-atom scattering factors, no anomalous dispersion.

Atomic structure:
```
data_CdAsPbF
_chemical_formula_sum 'Cd2 As2 Pb2 F2'
_cell_length_a 11.0819
_cell_length_b 11.0819
_cell_length_c 11.0819
_cell_angle_alpha 22.74
_cell_angle_beta 22.74
_cell_angle_gamma 22.74
_space_group_name_H-M_alt 'P 1'
_space_group_IT_number 1
_space_group_name_Hall 'P 1'
loop_
_atom_site_label
_atom_site_type_symbol
_atom_site_fract_x
_atom_site_fract_y
_atom_site_fract_z
Cd1 Cd 0.1959 0.1959 0.1959
Cd2 Cd 0.8041 0.8041 0.8041
As1 As 0.1073 0.1073 0.1073
As2 As 0.8927 0.8927 0.8927
Pb1 Pb 0.3849 0.3849 0.3849
Pb2 Pb 0.6151 0.6151 0.6151
F1 F 0.3070 0.3070 0.3070
F2 F 0.6930 0.6930 0.6930
```

Top 6 peaks for 10 to 90 degrees two-theta, in order of rising 2θ:
2θ (°)  d_spacing  I/Imax
26.00  3.427  100
27.30  3.267  61
36.53  2.460  72
41.33  2.184  88
46.00  1.973  23
54.02  1.698  28

---

(4)
The following is a simulated PXRD pattern of CdFeAs. It was derived from a PBE-relaxed structure, using Cu Kα (λ = 1.5418 Å).
Neutral-atom scattering factors, no anomalous dispersion.

Atomic structure:
```
data_CdFeAs
_chemical_formula_sum 'Cd4 Fe4 As4'
_cell_length_a 6.2912
_cell_length_b 6.2912
_cell_length_c 6.2912
_cell_angle_alpha 90.00
_cell_angle_beta 90.00
_cell_angle_gamma 90.00
_space_group_name_H-M_alt 'P 1'
_space_group_IT_number 1
_space_group_name_Hall 'P 1'
loop_
_atom_site_label
_atom_site_type_symbol
_atom_site_fract_x
_atom_site_fract_y
_atom_site_fract_z
Cd1 Cd 0.0000 0.0000 0.0000
Cd2 Cd 0.0000 0.5000 0.5000
Cd3 Cd 0.5000 0.0000 0.5000
Cd4 Cd 0.5000 0.5000 0.0000
Fe1 Fe 0.2500 0.2500 0.2500
Fe2 Fe 0.2500 0.7500 0.7500
Fe3 Fe 0.7500 0.2500 0.7500
Fe4 Fe 0.7500 0.7500 0.2500
As1 As 0.2500 0.2500 0.7500
As2 As 0.2500 0.7500 0.2500
As3 As 0.7500 0.2500 0.2500
As4 As 0.7500 0.7500 0.7500
```

Top 6 peaks for 10 to 90 degrees two-theta, in order of rising 2θ:
2θ (°)  d_spacing  I/Imax
24.51  3.632  55
40.56  2.224  100
47.96  1.897  26
58.70  1.573  16
64.57  1.443  10
73.79  1.284  32